1.
The following is a simulated powder diffraction line list of Cs3Pb2F7. It was derived from the PBE geometry in Alexandria, using a wavelength of 1.5418 Å.
Kinematic intensities with the Lorentz-polarization factor, no thermal factor.

Atomic structure:
abc: 12.8999 12.8999 12.8999
angles: 158.10 158.10 31.16
Fractional coordinates of all 12 atoms:
Cs 0.0000 0.0000 0.0000
Cs 0.1868 0.1868 0.0000
Cs 0.8132 0.8132 0.0000
Pb 0.4002 0.4002 0.0000
Pb 0.5998 0.5998 0.0000
F 0.0990 0.5990 0.5000
F 0.3028 0.3028 0.0000
F 0.4010 0.9010 0.5000
F 0.5000 0.5000 0.0000
F 0.5990 0.0990 0.5000
F 0.6972 0.6972 0.0000
F 0.9010 0.4010 0.5000

Top 12 peaks for 2θ = 10–90°, sorted by position:
two_theta  Rel. int.
14.26  10
25.53  100
25.71  58
36.14  14
36.68  34
44.88  21
45.22  44
52.45  19
52.85  11
59.67  12
71.79  11
72.04  12

=====

2.
The following is a simulated powder diffraction line list of CsPbF4. It was derived from the PBE geometry in Alexandria, using a wavelength of 1.5418 Å.
Kinematic intensities with the Lorentz-polarization factor, no thermal factor.

Atomic structure:
abc: 4.5049 4.5048 7.1552
angles: 90.00 90.06 90.00
Fractional coordinates of all 6 atoms:
Cs 0.0000 0.0000 0.0000
Pb 0.5000 0.5000 0.5000
F 0.0000 0.5000 0.5000
F 0.4994 0.5000 0.1902
F 0.5000 0.0000 0.5000
F 0.5006 0.5000 0.8098

Top 12 peaks for 2θ = 10–90°, sorted by position:
two_theta  Rel. int.
12.37  10
19.71  9
23.33  100
24.89  25
28.01  35
37.79  12
37.83  10
40.03  21
42.91  27
46.85  32
47.72  13
60.12  20

=====

3.
The following is a simulated powder diffraction line list of Cs2TbPb3F12. It was derived from the PBE geometry in Alexandria, using a wavelength of 1.5418 Å.
Kinematic intensities with the Lorentz-polarization factor, no thermal factor.

Atomic structure:
abc: 8.6646 8.6646 8.6646
angles: 59.06 59.06 59.06
Fractional coordinates of all 18 atoms:
Cs 0.1034 0.1034 0.1034
Cs 0.8966 0.8966 0.8966
Tb 0.5000 0.5000 0.5000
Pb 0.0000 0.5000 0.5000
Pb 0.5000 0.0000 0.5000
Pb 0.5000 0.5000 0.0000
F 0.1635 0.1635 0.5855
F 0.1635 0.5855 0.1635
F 0.1970 0.5638 0.5638
F 0.4145 0.8365 0.8365
F 0.4362 0.4362 0.8030
F 0.4362 0.8030 0.4362
F 0.5638 0.1970 0.5638
F 0.5638 0.5638 0.1970
F 0.5855 0.1635 0.1635
F 0.8030 0.4362 0.4362
F 0.8365 0.4145 0.8365
F 0.8365 0.8365 0.4145

Top 12 peaks for 2θ = 10–90°, sorted by position:
two_theta  Rel. int.
12.42  39
12.66  30
24.04  64
24.30  72
24.43  66
25.49  100
38.47  29
38.64  23
41.71  40
42.33  48
49.25  47
49.79  17

=====

Please write out number 2 again, unchanged.
The following is a simulated powder diffraction line list of CsPbF4. It was derived from the PBE geometry in Alexandria, using a wavelength of 1.5418 Å.
Kinematic intensities with the Lorentz-polarization factor, no thermal factor.

Atomic structure:
abc: 4.5049 4.5048 7.1552
angles: 90.00 90.06 90.00
Fractional coordinates of all 6 atoms:
Cs 0.0000 0.0000 0.0000
Pb 0.5000 0.5000 0.5000
F 0.0000 0.5000 0.5000
F 0.4994 0.5000 0.1902
F 0.5000 0.0000 0.5000
F 0.5006 0.5000 0.8098

Top 12 peaks for 2θ = 10–90°, sorted by position:
two_theta  Rel. int.
12.37  10
19.71  9
23.33  100
24.89  25
28.01  35
37.79  12
37.83  10
40.03  21
42.91  27
46.85  32
47.72  13
60.12  20